No. 1
The following is a computed powder diffraction line list of YMgReSb2. It was derived from a GGA-PBE-relaxed structure, using λ = 1.5418 Å (Cu Kα).

The 6 most intense peaks (15° ≤ 2θ ≤ 90°), by angle:
2θ/deg	I_rel	index
16.14	87	0 0 1
17.14	100	1 0 0
32.62	49	0 0 2
34.67	84	2 0 0
38.47	41	2 0 1
48.34	65	2 0 2

Lattice parameters (Å, degrees): 5.1742 5.1742 5.4899 90.00 90.00 90.00
Space group P4/mmm (No. 123)
Inequivalent atoms, fractional coordinates:
1 Y 0.0000 0.0000 0.0000 (multiplicity 1)
2 Mg 0.5000 0.5000 0.0000 (multiplicity 1)
3 Re 0.0000 0.0000 0.5000 (multiplicity 1)
4 Sb 0.0000 0.5000 0.5000 (multiplicity 2)

=====

No. 2
The following is a computed powder diffraction line list of Sm3Y2Ho6In. It was derived from a GGA-PBE-relaxed structure, using λ = 1.5418 Å (Cu Kα).

The 6 most intense peaks (15° ≤ 2θ ≤ 90°), by angle:
2θ/deg	I_rel	index
31.07	100	1 3 1
31.15	33	0 0 4
36.05	67	1 3 -3
51.87	32	0 6 0
51.96	16	1 3 5
61.72	42	3 3 -5

Lattice parameters (Å, degrees): 6.1079 10.5821 11.6668 90.00 100.10 90.00
Space group C2/m (No. 12)
Inequivalent atoms, fractional coordinates:
1 Sm 0.0000 0.0000 0.0000 (multiplicity 2)
2 Sm 0.0000 0.3329 0.0000 (multiplicity 4)
3 Y 0.0000 0.1662 0.5000 (multiplicity 4)
4 Ho 0.2449 0.3360 0.7453 (multiplicity 8)
5 Ho 0.2469 0.5000 0.2534 (multiplicity 4)
6 In 0.0000 0.5000 0.5000 (multiplicity 2)

=====

No. 3
The following is a computed powder diffraction line list of TbTm4Cd4. It was derived from a GGA-PBE-relaxed structure, using λ = 1.5418 Å (Cu Kα).

The 6 most intense peaks (15° ≤ 2θ ≤ 90°), by angle:
2θ/deg	I_rel	index
26.67	32	2 1 1
30.07	77	3 1 0
32.88	100	3 0 1
33.89	46	1 0 2
38.19	100	2 3 1
62.45	39	2 6 0

Lattice parameters (Å, degrees): 9.3988 9.3988 5.5131 90.00 90.00 90.00
Space group P4_2/n (No. 86, origin choice 2)
Inequivalent atoms, fractional coordinates:
1 Tb 0.2500 0.2500 0.2500 (multiplicity 2)
2 Tm 0.0987 0.8255 0.6686 (multiplicity 8)
3 Cd 0.0489 0.1439 0.8296 (multiplicity 8)

=====

No. 4
The following is a computed powder diffraction line list of TmInPdRu. It was derived from a GGA-PBE-relaxed structure, using λ = 1.5418 Å (Cu Kα).

The 6 most intense peaks (15° ≤ 2θ ≤ 90°), by angle:
2θ/deg	I_rel	index
37.91	100	1 1 1
39.31	23	0 0 2
39.91	22	0 2 0
57.26	15	0 2 2
70.34	16	1 1 3
71.15	15	1 3 1

Lattice parameters (Å, degrees): 3.5145 4.5181 4.5837 90.00 90.00 90.00
Space group Pmmm (No. 47)
Inequivalent atoms, fractional coordinates:
1 Tm 0.0000 0.0000 0.0000 (multiplicity 1)
2 In 0.0000 0.5000 0.5000 (multiplicity 1)
3 Pd 0.5000 0.0000 0.5000 (multiplicity 1)
4 Ru 0.5000 0.5000 0.0000 (multiplicity 1)

=====

No. 5
The following is a computed powder diffraction line list of SmDy2Tm6. It was derived from a GGA-PBE-relaxed structure, using λ = 1.5418 Å (Cu Kα).

The 6 most intense peaks (15° ≤ 2θ ≤ 90°), by angle:
2θ/deg	I_rel	index
23.36	27	0 0 6
30.34	90	0 2 1
34.02	95	0 2 4
35.36	27	0 0 9
36.06	100	2 0 5
53.42	42	2 2 0

Lattice parameters (Å, degrees): 6.8604 6.8604 22.8463 90.00 90.00 120.00
Space group R3m (No. 160, hexagonal axes)
Inequivalent atoms, fractional coordinates:
1 Sm 0.0000 0.0000 0.0000 (multiplicity 3)
2 Dy 0.0000 0.0000 0.2473 (multiplicity 3)
3 Dy 0.0000 0.0000 0.4126 (multiplicity 3)
4 Tm 0.0045 0.5022 0.2218 (multiplicity 9)
5 Tm 0.1697 0.3394 0.7772 (multiplicity 9)

=====

No. 6
The following is a computed powder diffraction line list of PmPr3HoEr. It was derived from a GGA-PBE-relaxed structure, using λ = 1.5418 Å (Cu Kα).

The 6 most intense peaks (15° ≤ 2θ ≤ 90°), by angle:
2θ/deg	I_rel	index
30.08	100	3 0 1
34.87	51	3 1 -1
50.07	18	0 2 0
50.20	18	6 0 -2
59.55	32	3 2 1
59.68	11	6 1 0

Lattice parameters (Å, degrees): 10.8999 3.6425 10.9317 90.00 109.59 90.00
Space group P2_1/m (No. 11)
Inequivalent atoms, fractional coordinates:
1 Pm 0.1275 0.2500 0.1278 (multiplicity 2)
2 Pr 0.0460 0.7500 0.3777 (multiplicity 2)
3 Pr 0.2080 0.7500 0.8724 (multiplicity 2)
4 Pr 0.4596 0.2500 0.1305 (multiplicity 2)
5 Ho 0.3777 0.7500 0.3799 (multiplicity 2)
6 Er 0.2948 0.2500 0.6209 (multiplicity 2)

=====

No. 7
The following is a computed powder diffraction line list of La4Nd2Y7. It was derived from a GGA-PBE-relaxed structure, using λ = 1.5418 Å (Cu Kα).

The 6 most intense peaks (15° ≤ 2θ ≤ 90°), by angle:
2θ/deg	I_rel	index
25.18	27	1 2 0
30.09	43	2 0 1
30.57	64	-1 2 2
32.10	100	0 0 3
32.18	54	1 -2 1
34.54	20	2 1 -1

Lattice parameters (Å, degrees): 6.2135 8.8382 9.1587 66.67 80.91 81.07
Space group P-1 (No. 2)
Inequivalent atoms, fractional coordinates:
1 La 0.0674 0.2001 0.3611 (multiplicity 2)
2 La 0.0702 0.6684 0.3097 (multiplicity 2)
3 Nd 0.2256 0.0797 0.0139 (multiplicity 2)
4 Y 0.0000 0.5000 0.0000 (multiplicity 1)
5 Y 0.4012 0.4947 0.6869 (multiplicity 2)
6 Y 0.4134 0.7227 0.9134 (multiplicity 2)
7 Y 0.4947 0.1184 0.6228 (multiplicity 2)

=====

No. 8
The following is a computed powder diffraction line list of LaPr3Tm7. It was derived from a GGA-PBE-relaxed structure, using λ = 1.5418 Å (Cu Kα).

The 6 most intense peaks (15° ≤ 2θ ≤ 90°), by angle:
2θ/deg	I_rel	index
30.71	34	0 0 3
31.05	100	2 0 1
35.90	69	0 2 2
51.47	24	2 0 4
51.90	24	2 2 0
61.53	28	2 2 3

Lattice parameters (Å, degrees): 7.0471 7.0471 8.7330 90.00 90.00 120.00
Space group P3m1 (No. 156)
Inequivalent atoms, fractional coordinates:
1 La 0.0000 0.0000 0.0000 (multiplicity 1)
2 Pr 0.1671 0.3342 0.6578 (multiplicity 3)
3 Tm 0.0013 0.5007 0.0003 (multiplicity 3)
4 Tm 0.3333 0.6667 0.3193 (multiplicity 1)
5 Tm 0.3337 0.1669 0.3226 (multiplicity 3)

=====

No. 9
The following is a computed powder diffraction line list of Ac7Sn4Os. It was derived from a GGA-PBE-relaxed structure, using λ = 1.5418 Å (Cu Kα).

The 6 most intense peaks (15° ≤ 2θ ≤ 90°), by angle:
2θ/deg	I_rel	index
21.87	47	1 1 -2
22.08	51	4 0 -1
30.26	100	3 1 1
30.64	61	2 0 -4
31.59	66	0 2 0
32.25	78	5 1 -3

Lattice parameters (Å, degrees): 16.6957 5.6646 12.0502 90.00 124.85 90.00
Space group C2/m (No. 12)
Inequivalent atoms, fractional coordinates:
1 Ac 0.0000 0.0000 0.0000 (multiplicity 2)
2 Ac 0.0751 0.5000 0.2735 (multiplicity 4)
3 Ac 0.1408 0.0000 0.5476 (multiplicity 4)
4 Ac 0.2152 0.5000 0.8716 (multiplicity 4)
5 Sn 0.0784 0.0000 0.7757 (multiplicity 4)
6 Sn 0.2253 0.0000 0.3461 (multiplicity 4)
7 Os 0.0000 0.5000 0.0000 (multiplicity 2)

=====

No. 10
The following is a computed powder diffraction line list of Pr2Nd4Sn3Cl2. It was derived from a GGA-PBE-relaxed structure, using λ = 1.5418 Å (Cu Kα).

The 6 most intense peaks (15° ≤ 2θ ≤ 90°), by angle:
2θ/deg	I_rel	index
24.76	42	1 1 2
30.56	29	1 0 7
32.35	100	1 1 6
33.70	79	2 0 0
48.40	28	2 2 0
59.42	36	3 1 6

Lattice parameters (Å, degrees): 5.3194 5.3194 24.5141 90.00 90.00 90.00
Space group I4/mmm (No. 139)
Inequivalent atoms, fractional coordinates:
1 Pr 0.0000 0.0000 0.1981 (multiplicity 4)
2 Nd 0.0000 0.5000 0.0872 (multiplicity 8)
3 Sn 0.0000 0.0000 0.3293 (multiplicity 4)
4 Sn 0.0000 0.0000 0.5000 (multiplicity 2)
5 Cl 0.0000 0.0000 0.0682 (multiplicity 4)

=====

No. 11
The following is a computed powder diffraction line list of Ga8Cu3W2. It was derived from a GGA-PBE-relaxed structure, using λ = 1.5418 Å (Cu Kα).

The 6 most intense peaks (15° ≤ 2θ ≤ 90°), by angle:
2θ/deg	I_rel	index
18.04	18	2 1 1
20.86	50	2 2 0
38.09	16	4 3 1
42.45	100	4 4 0
43.82	18	5 3 0
77.66	17	8 4 4

Lattice parameters (Å, degrees): 12.0469 12.0469 12.0469 90.00 90.00 90.00
Space group I-43d (No. 220)
Inequivalent atoms, fractional coordinates:
1 Ga 0.1043 0.3957 0.6043 (multiplicity 16)
2 Ga 0.1103 0.3777 0.8787 (multiplicity 48)
3 Cu 0.0000 0.2500 0.0200 (multiplicity 24)
4 W 0.0216 0.0216 0.0216 (multiplicity 16)

=====

No. 12
The following is a computed powder diffraction line list of K3RbO. It was derived from a GGA-PBE-relaxed structure, using λ = 1.5418 Å (Cu Kα).

The 6 most intense peaks (15° ≤ 2θ ≤ 90°), by angle:
2θ/deg	I_rel	index
20.78	45	1 1 1
24.46	40	1 0 2
25.59	100	3 0 -2
27.12	48	1 1 2
32.22	50	2 2 0
36.73	40	1 3 -2

Lattice parameters (Å, degrees): 10.8777 7.7273 15.6180 90.00 132.68 90.00
Space group P2_1/c (No. 14)
Inequivalent atoms, fractional coordinates:
1 K 0.0040 0.2155 0.4715 (multiplicity 4)
2 K 0.2852 0.5918 0.9827 (multiplicity 4)
3 K 0.4959 0.7469 0.7831 (multiplicity 4)
4 Rb 0.2486 0.0888 0.7950 (multiplicity 4)
5 O 0.2613 0.5021 0.1304 (multiplicity 4)